Theoretical powder XRD pattern of Re6Pb5O19 for Cu Kα (weighted mean of Kα1 and Kα2), from a structure optimized by DFT (GGA-PBE).
Neutral-atom scattering factors, no anomalous dispersion.

Main lines, by intensity (2θ from 5° to 70°):
2θ = 30.06°, d = 2.973 Å, intensity 100, (3 0 -4); 2θ = 49.43°, d = 1.844 Å, intensity 67, (1 4 2); 2θ = 28.48°, d = 3.134 Å, intensity 49, (2 1 0); 2θ = 35.73°, d = 2.513 Å, intensity 39, (1 2 -4); 2θ = 58.94°, d = 1.567 Å, intensity 27, (0 0 6); 2θ = 26.82°, d = 3.324 Å, intensity 18, (2 0 0); 2θ = 31.56°, d = 2.835 Å, intensity 17, (3 1 -2); 2θ = 50.44°, d = 1.809 Å, intensity 14, (5 1 -6); 2θ = 56.20°, d = 1.637 Å, intensity 12, (2 5 -4); 2θ = 18.88°, d = 4.701 Å, intensity 11, (0 2 0); 2θ = 64.20°, d = 1.451 Å, intensity 11, (1 4 -6); 2θ = 40.72°, d = 2.216 Å, intensity 10, (3 0 -6)

Structure:
```
data_Re6Pb5O19
_symmetry_space_group_name_H-M 'P 1'
_symmetry_Int_Tables_number 1
_cell_length_a 9.3955
_cell_length_b 9.4007
_cell_length_c 13.2916
_cell_angle_alpha 90.00
_cell_angle_beta 134.93
_cell_angle_gamma 90.00
loop_
_symmetry_equiv_pos_as_xyz
'x,y,z'
loop_
_atom_site_label
_atom_site_type_symbol
_atom_site_fract_x
_atom_site_fract_y
_atom_site_fract_z
_atom_site_occupancy
Re1 Re 0.0000 0.1154 0.2500 1
Re2 Re 0.0000 0.3816 0.2500 1
Re3 Re 0.0000 0.6184 0.7500 1
Re4 Re 0.0000 0.8846 0.7500 1
Re5 Re 0.1343 0.2464 0.8832 1
Re6 Re 0.1343 0.7536 0.3832 1
Re7 Re 0.3722 0.2475 0.2556 1
Re8 Re 0.3722 0.7525 0.7556 1
Re9 Re 0.6278 0.2475 0.2444 1
Re10 Re 0.6278 0.7525 0.7444 1
Re11 Re 0.8657 0.2464 0.6168 1
Re12 Re 0.8657 0.7536 0.1168 1
Pb1 Pb 0.0000 0.5000 0.0000 1
Pb2 Pb 0.0000 0.5000 0.5000 1
Pb3 Pb 0.2139 0.1018 0.6075 1
Pb4 Pb 0.2139 0.8982 0.1075 1
Pb5 Pb 0.4988 0.3907 0.6035 1
Pb6 Pb 0.4988 0.6093 0.1035 1
Pb7 Pb 0.5012 0.3907 0.8965 1
Pb8 Pb 0.5012 0.6093 0.3965 1
Pb9 Pb 0.7861 0.1018 0.8925 1
Pb10 Pb 0.7861 0.8982 0.3925 1
O1 O 0.1389 0.0402 0.8920 1
O2 O 0.1389 0.9598 0.3920 1
O3 O 0.1440 0.2499 0.0393 1
O4 O 0.1440 0.7501 0.5393 1
O5 O 0.1452 0.4614 0.8953 1
O6 O 0.1452 0.5386 0.3953 1
O7 O 0.1675 0.2501 0.7479 1
O8 O 0.1675 0.7499 0.2479 1
O9 O 0.1694 0.2509 0.4196 1
O10 O 0.1694 0.7491 0.9196 1
O11 O 0.2064 0.1081 0.2466 1
O12 O 0.2064 0.8919 0.7466 1
O13 O 0.2113 0.3950 0.2500 1
O14 O 0.2113 0.6050 0.7500 1
O15 O 0.4310 0.2526 0.0387 1
O16 O 0.4310 0.7474 0.5387 1
O17 O 0.5000 0.0789 0.2500 1
O18 O 0.5000 0.2513 0.7500 1
O19 O 0.5000 0.4176 0.2500 1
O20 O 0.5000 0.5824 0.7500 1
O21 O 0.5000 0.7487 0.2500 1
O22 O 0.5000 0.9211 0.7500 1
O23 O 0.5690 0.2526 0.4613 1
O24 O 0.5690 0.7474 0.9613 1
O25 O 0.7887 0.3950 0.2500 1
O26 O 0.7887 0.6050 0.7500 1
O27 O 0.7936 0.1081 0.2534 1
O28 O 0.7936 0.8919 0.7534 1
O29 O 0.8306 0.2509 0.0804 1
O30 O 0.8306 0.7491 0.5804 1
O31 O 0.8325 0.2501 0.7521 1
O32 O 0.8325 0.7499 0.2521 1
O33 O 0.8548 0.4614 0.6047 1
O34 O 0.8548 0.5386 0.1047 1
O35 O 0.8560 0.2499 0.4607 1
O36 O 0.8560 0.7501 0.9607 1
O37 O 0.8611 0.0402 0.6080 1
O38 O 0.8611 0.9598 0.1080 1
```